Nb2GeB2: calculated XRD peak list (Cu Kα), based on a structure optimized by DFT (PBE).
Intensities are scaled so that the largest is 100.

Structural model:
```
data_Nb2GeB2
_chemical_formula_sum 'Nb4 Ge2 B4'
_space_group_name_H-M_alt 'C m m m'
_space_group_IT_number 65
_space_group_name_Hall '-C 2 2'
_cell_length_a 3.1541
_cell_length_b 11.7659
_cell_length_c 3.3363
_cell_angle_alpha 90.00
_cell_angle_beta 90.00
_cell_angle_gamma 90.00
loop_
_atom_site_label
_atom_site_type_symbol
_atom_site_fract_x
_atom_site_fract_y
_atom_site_fract_z
Nb1 Nb 0.0000 0.1385 0.0000
Ge1 Ge 0.0000 0.5000 0.5000
B1 B 0.0000 0.2829 0.5000
```

Main lines, low angle first (10° ≤ 2θ ≤ 80°):
hkl, 2theta, I/Imax
1 3 0, 36.6, 85
1 1 1, 40.1, 100
0 4 1, 40.9, 82
1 3 2, 67.9, 27
1 7 1, 69.3, 29
2 4 1, 73.9, 27



NbGeB4: calculated XRD peak list (Cu Kα), based on a structure optimized by DFT (PBE).
Intensities are scaled so that the largest is 100.

Structural model:
```
data_NbGeB4
_chemical_formula_sum 'Nb2 Ge2 B8'
_space_group_name_H-M_alt 'I m m m'
_space_group_IT_number 71
_space_group_name_Hall '-I 2 2'
_cell_length_a 3.0136
_cell_length_b 5.4115
_cell_length_c 7.1295
_cell_angle_alpha 90.00
_cell_angle_beta 90.00
_cell_angle_gamma 90.00
loop_
_atom_site_label
_atom_site_type_symbol
_atom_site_fract_x
_atom_site_fract_y
_atom_site_fract_z
Nb1 Nb 0.0000 0.0000 0.0000
Ge1 Ge 0.0000 0.0000 0.5000
B1 B 0.0000 0.3372 0.2455
```

Main lines, low angle first (10° ≤ 2θ ≤ 80°):
hkl, 2theta, I/Imax
0 0 2, 25.0, 55
0 2 0, 33.1, 36
1 1 0, 34.1, 65
0 2 2, 41.9, 52
1 1 2, 42.7, 100
1 1 4, 63.0, 22



Nb4GeB3: calculated XRD peak list (Cu Kα), based on a structure optimized by DFT (PBE).
Intensities are scaled so that the largest is 100.

Structural model:
```
data_Nb4GeB3
_chemical_formula_sum 'Nb8 Ge2 B6'
_space_group_name_H-M_alt 'P 63/m m c'
_space_group_IT_number 194
_space_group_name_Hall '-P 6c 2c'
_cell_length_a 3.2759
_cell_length_b 3.2759
_cell_length_c 23.6002
_cell_angle_alpha 90.00
_cell_angle_beta 90.00
_cell_angle_gamma 120.00
loop_
_atom_site_label
_atom_site_type_symbol
_atom_site_fract_x
_atom_site_fract_y
_atom_site_fract_z
Nb1 Nb 0.0000 0.0000 0.1653
Nb2 Nb 0.3333 0.6667 0.0554
Ge1 Ge 0.3333 0.6667 0.2500
B1 B 0.0000 0.0000 0.0000
B2 B 0.3333 0.6667 0.6132
```

Main lines, low angle first (10° ≤ 2θ ≤ 80°):
hkl, 2theta, I/Imax
1 0 1, 31.8, 27
1 0 2, 32.5, 30
1 0 4, 35.1, 33
1 0 5, 37.0, 78
1 0 6, 39.2, 100
1 1 0, 56.2, 47



Sm2GeB2O8: calculated XRD peak list (Cu Kα), based on a structure optimized by DFT (PBE).
Intensities are scaled so that the largest is 100.

Structural model:
```
data_Sm2GeB2O8
_chemical_formula_sum 'Sm8 Ge4 B8 O32'
_space_group_name_H-M_alt 'P b c n'
_space_group_IT_number 60
_space_group_name_Hall '-P 2n 2ab'
_cell_length_a 13.6015
_cell_length_b 4.4293
_cell_length_c 9.3377
_cell_angle_alpha 90.00
_cell_angle_beta 90.00
_cell_angle_gamma 90.00
loop_
_atom_site_label
_atom_site_type_symbol
_atom_site_fract_x
_atom_site_fract_y
_atom_site_fract_z
Sm1 Sm 0.1402 0.0396 0.0242
Ge1 Ge 0.0000 0.4295 0.7500
B1 B 0.2002 0.4672 0.2962
O1 O 0.0039 0.2079 0.9028
O2 O 0.1070 0.3372 0.2335
O3 O 0.1918 0.4621 0.4501
O4 O 0.2158 0.2196 0.7407
```

Main lines, low angle first (10° ≤ 2θ ≤ 80°):
hkl, 2theta, I/Imax
0 0 2, 19.0, 27
3 1 0, 28.2, 56
1 1 2, 28.5, 100
4 0 2, 32.6, 57
0 0 4, 38.6, 27
7 1 2, 55.2, 30



GeBPd: calculated XRD peak list (Cu Kα), based on a structure optimized by DFT (PBE).
Intensities are scaled so that the largest is 100.

Structural model:
```
data_GeBPd
_chemical_formula_sum 'Ge4 B4 Pd4'
_space_group_name_H-M_alt 'F -4 3 m'
_space_group_IT_number 216
_space_group_name_Hall 'F -4 2 3'
_cell_length_a 5.4563
_cell_length_b 5.4563
_cell_length_c 5.4563
_cell_angle_alpha 90.00
_cell_angle_beta 90.00
_cell_angle_gamma 90.00
loop_
_atom_site_label
_atom_site_type_symbol
_atom_site_fract_x
_atom_site_fract_y
_atom_site_fract_z
Ge1 Ge 0.0000 0.0000 0.0000
B1 B 0.2500 0.2500 0.2500
Pd1 Pd 0.0000 0.0000 0.5000
```

Main lines, low angle first (10° ≤ 2θ ≤ 80°):
hkl, 2theta, I/Imax
1 1 1, 28.3, 8
2 0 0, 32.8, 100
2 2 0, 47.1, 85
2 2 2, 58.6, 25
4 0 0, 68.8, 13
4 2 0, 78.4, 32



TaGeB4: calculated XRD peak list (Cu Kα), based on a structure optimized by DFT (PBE).
Intensities are scaled so that the largest is 100.

Structural model:
```
data_TaGeB4
_chemical_formula_sum 'Ta1 Ge1 B4'
_space_group_name_H-M_alt 'P 6/m m m'
_space_group_IT_number 191
_space_group_name_Hall '-P 6 2'
_cell_length_a 3.0610
_cell_length_b 3.0610
_cell_length_c 7.3741
_cell_angle_alpha 90.00
_cell_angle_beta 90.00
_cell_angle_gamma 120.00
loop_
_atom_site_label
_atom_site_type_symbol
_atom_site_fract_x
_atom_site_fract_y
_atom_site_fract_z
Ta1 Ta 0.0000 0.0000 0.0000
Ge1 Ge 0.0000 0.0000 0.5000
B1 B 0.3333 0.6667 0.2283
```

Main lines, low angle first (10° ≤ 2θ ≤ 80°):
hkl, 2theta, I/Imax
0 0 1, 12.0, 55
0 0 2, 24.1, 47
1 0 0, 33.8, 71
1 0 1, 36.0, 22
1 0 2, 42.0, 100
1 0 4, 61.2, 27



TcGeB4: calculated XRD peak list (Cu Kα), based on a structure optimized by DFT (PBE).
Intensities are scaled so that the largest is 100.

Structural model:
```
data_TcGeB4
_chemical_formula_sum 'Tc2 Ge2 B8'
_space_group_name_H-M_alt 'I m m m'
_space_group_IT_number 71
_space_group_name_Hall '-I 2 2'
_cell_length_a 3.0091
_cell_length_b 5.3468
_cell_length_c 6.8198
_cell_angle_alpha 90.00
_cell_angle_beta 90.00
_cell_angle_gamma 90.00
loop_
_atom_site_label
_atom_site_type_symbol
_atom_site_fract_x
_atom_site_fract_y
_atom_site_fract_z
Tc1 Tc 0.0000 0.0000 0.0000
Ge1 Ge 0.0000 0.0000 0.5000
B1 B 0.0000 0.3376 0.2474
```

Main lines, low angle first (10° ≤ 2θ ≤ 80°):
hkl, 2theta, I/Imax
0 0 2, 26.1, 54
0 2 0, 33.5, 37
1 1 0, 34.2, 68
0 2 2, 43.0, 51
1 1 2, 43.5, 100
1 1 4, 65.3, 21



HoBH8SO10: calculated XRD peak list (Cu Kα), based on a structure optimized by DFT (PBE).
Intensities are scaled so that the largest is 100.

Structural model:
```
data_HoBH8SO10
_chemical_formula_sum 'Ho2 B2 H16 S2 O20'
_space_group_name_H-M_alt 'P -1'
_space_group_IT_number 2
_space_group_name_Hall '-P 1'
_cell_length_a 5.8339
_cell_length_b 6.7253
_cell_length_c 9.7333
_cell_angle_alpha 79.86
_cell_angle_beta 76.73
_cell_angle_gamma 88.48
loop_
_atom_site_label
_atom_site_type_symbol
_atom_site_fract_x
_atom_site_fract_y
_atom_site_fract_z
Ho1 Ho 0.0835 0.3198 0.2766
B1 B 0.4157 0.6660 0.7299
H1 H 0.1813 0.8024 0.1170
H2 H 0.2198 0.7417 0.9175
H3 H 0.2400 0.4132 0.9569
H4 H 0.2655 0.0126 0.0178
H5 H 0.4141 0.7238 0.5137
H6 H 0.4340 0.2618 0.0083
H7 H 0.4712 0.6214 0.2897
H8 H 0.4991 0.0260 0.3023
S1 S 0.1295 0.2031 0.6544
O1 O 0.0182 0.3408 0.7544
O2 O 0.0240 0.0020 0.7163
O3 O 0.0826 0.2745 0.5127
O4 O 0.2077 0.6388 0.8555
O5 O 0.2643 0.2961 0.0320
O6 O 0.2905 0.8658 0.0266
O7 O 0.3076 0.6784 0.6080
O8 O 0.3889 0.1973 0.6463
O9 O 0.4212 0.5033 0.2561
O10 O 0.4359 0.1611 0.2739
```

Main lines, low angle first (10° ≤ 2θ ≤ 80°):
hkl, 2theta, I/Imax
0 1 1, 15.0, 69
1 0 0, 15.6, 89
0 1 -1, 17.7, 58
0 0 2, 19.0, 100
1 0 2, 21.7, 42
0 2 1, 27.0, 80